The following is a theoretical powder X-ray diffraction pattern of Ba4TeBr5. It was derived from a PBE-relaxed structure, using Cu Ka.
Peak positions follow from Bragg's law for the DFT cell and can differ from measured ones.

Crystal structure
a b c (Å): 20.8238 5.0887 8.8864
angles (deg): 90.00 115.10 90.00
Space group C2/m (No. 12)
Unique sites:
Ba 0.0001 0.0000 0.2442 [4 per cell]
Ba 0.1881 0.5000 0.6885 [4 per cell]
Te 0.0000 0.5000 0.5000 [2 per cell]
Br 0.0000 0.5000 0.0000 [2 per cell]
Br 0.1743 0.0000 0.4281 [4 per cell]
Br 0.1741 0.0000 0.9213 [4 per cell]

Top 10 peaks for 2θ from 10° to 90°, sorted by position:
Position (°2θ), Rel. int., hkl
18.82, 15, 4 0 0
20.11, 19, 1 1 -1
27.06, 100, 3 1 -2
28.40, 40, 6 0 0
35.28, 27, 0 2 0
35.87, 81, 3 1 2
40.61, 18, 4 0 -4
45.89, 21, 6 2 0
54.86, 15, 4 2 -4
63.70, 15, 3 3 2

---

The following is a theoretical powder X-ray diffraction pattern of PrHfScIr2. It was derived from a PBE-relaxed structure, using Cu Ka.
Peak positions follow from Bragg's law for the DFT cell and can differ from measured ones.

Crystal structure
a b c (Å): 4.3877 4.3877 11.5452
angles (deg): 90.00 90.00 90.00
Space group I-4m2 (No. 119)
Unique sites:
Pr 0.0000 0.0000 0.0000 [2 per cell]
Hf 0.0000 0.5000 0.7500 [2 per cell]
Sc 0.0000 0.5000 0.2500 [2 per cell]
Ir 0.0000 0.0000 0.3850 [4 per cell]

Top 10 peaks for 2θ from 10° to 90°, sorted by position:
Position (°2θ), Rel. int., hkl
21.67, 60, 1 0 1
28.77, 37, 1 1 0
30.91, 98, 1 0 3
32.77, 100, 1 1 2
41.15, 88, 2 0 0
42.79, 57, 1 1 4
44.33, 64, 1 0 5
52.34, 46, 2 1 3
59.60, 30, 2 2 0
62.07, 48, 2 1 5

---

The following is a theoretical powder X-ray diffraction pattern of Tb5Pr3Sm2. It was derived from a PBE-relaxed structure, using Cu Ka.
Peak positions follow from Bragg's law for the DFT cell and can differ from measured ones.

Crystal structure
a b c (Å): 10.7972 16.4633 9.3831
angles (deg): 90.00 125.10 90.00
Space group C2/c (No. 15)
Unique sites:
Tb 0.0000 0.0241 0.2500 [4 per cell]
Tb 0.0000 0.2206 0.2500 [4 per cell]
Tb 0.0000 0.2753 0.7500 [4 per cell]
Tb 0.2405 0.1342 0.7320 [8 per cell]
Pr 0.0000 0.4816 0.7500 [4 per cell]
Pr 0.1516 0.1254 0.0467 [8 per cell]
Sm 0.1437 0.3693 0.5437 [8 per cell]

Top 10 peaks for 2θ from 10° to 90°, sorted by position:
Position (°2θ), Rel. int., hkl
29.67, 100, 2 4 0
30.57, 95, 2 2 -3
31.88, 21, 0 4 2
33.19, 46, 4 0 -2
36.76, 27, 2 6 -1
48.66, 20, 0 6 3
57.15, 18, 6 4 -2
60.17, 23, 4 6 -5
63.90, 21, 2 10 -3
67.37, 18, 2 4 -6

---

The following is a theoretical powder X-ray diffraction pattern of Li6AlZn5. It was derived from a PBE-relaxed structure, using Cu Ka.
Peak positions follow from Bragg's law for the DFT cell and can differ from measured ones.

Crystal structure
a b c (Å): 3.6888 8.4648 6.1741
angles (deg): 90.00 107.12 90.00
Space group P2/m (No. 10)
Unique sites:
Li 0.0000 0.2457 0.0000 [2 per cell]
Li 0.3335 0.2471 0.6674 [4 per cell]
Al 0.5000 0.5000 0.0000 [1 per cell]
Zn 0.1671 0.0000 0.3333 [2 per cell]
Zn 0.1692 0.5000 0.3372 [2 per cell]
Zn 0.5000 0.0000 0.0000 [1 per cell]

Top 10 peaks for 2θ from 10° to 90°, sorted by position:
Position (°2θ), Rel. int., hkl
20.99, 100, 0 2 0
33.22, 31, 1 0 1
33.37, 31, 1 0 -2
39.63, 53, 1 2 1
39.76, 52, 1 2 -2
42.73, 21, 0 4 0
46.15, 17, 0 0 3
51.22, 18, 0 2 3
54.25, 15, 2 2 -1
76.19, 14, 1 6 1